# 1
CsVWO6: simulated XRD peak list (CuKα), based on the GGA+U geometry in the Materials Project.
No peak broadening, texture or thermal motion is included.

Crystal structure
```
CsVWO6
1.0
-3.562 3.682 5.127
3.562 -3.682 5.127
3.562 3.682 -5.127
Cs V W O
2 2 2 12
direct
0.373 0.123 0.250
0.627 0.877 0.750
0.000 0.000 0.500
0.000 0.500 0.000
0.000 0.500 0.500
0.500 0.500 0.000
0.054 0.804 0.250
0.057 0.436 0.243
0.057 0.814 0.621
0.307 0.186 0.743
0.307 0.564 0.121
0.316 0.566 0.750
0.684 0.434 0.250
0.693 0.436 0.879
0.693 0.814 0.257
0.943 0.186 0.379
0.943 0.564 0.757
0.946 0.196 0.750
```

The 6 most intense peaks (5 to 70 degrees two-theta), in order of rising 2θ:
d = 5.851 Å, 15.14 deg, I = 41; d = 3.116 Å, 28.65 deg, I = 100; d = 3.082 Å, 28.97 deg, I = 47; d = 2.991 Å, 29.87 deg, I = 31; d = 2.925 Å, 30.56 deg, I = 30; d = 1.812 Å, 50.37 deg, I = 41

---

# 2
K3VO4: simulated XRD peak list (CuKα), based on the GGA+U geometry in the Materials Project.
No peak broadening, texture or thermal motion is included.

Crystal structure
```
K3VO4
1.0
5.677 0.000 0.000
0.000 5.677 0.000
0.000 0.000 10.450
K V O
6 2 8
direct
0.000 0.000 0.000
0.000 0.500 0.250
0.000 0.500 0.750
0.500 0.000 0.250
0.500 0.000 0.750
0.500 0.500 0.500
0.000 0.000 0.500
0.500 0.500 0.000
0.179 0.179 0.404
0.179 0.821 0.596
0.321 0.321 0.904
0.321 0.679 0.096
0.679 0.321 0.096
0.679 0.679 0.904
0.821 0.179 0.596
0.821 0.821 0.404
```

The 6 most intense peaks (5 to 70 degrees two-theta), in order of rising 2θ:
d = 4.989 Å, 17.78 deg, I = 11; d = 3.183 Å, 28.03 deg, I = 100; d = 2.839 Å, 31.52 deg, I = 18; d = 2.007 Å, 45.17 deg, I = 14; d = 1.922 Å, 47.29 deg, I = 25; d = 1.698 Å, 54.01 deg, I = 21

---

# 3
NaCo2H3Se2O10: simulated XRD peak list (CuKα), based on the GGA+U geometry in the Materials Project.
No peak broadening, texture or thermal motion is included.

Crystal structure
```
NaCo2H3Se2O10
1.0
6.745 -3.071 0.000
6.745 3.071 0.000
-2.052 0.000 8.465
Na Co H Se O
1 2 3 2 10
direct
0.000 0.000 0.000
0.029 0.434 0.594
0.434 0.029 0.594
0.071 0.071 0.617
0.456 0.456 0.491
0.500 0.500 0.563
0.367 0.367 0.850
0.604 0.604 0.261
0.143 0.143 0.676
0.211 0.657 0.830
0.275 0.275 0.475
0.319 0.756 0.191
0.657 0.211 0.830
0.671 0.671 0.573
0.756 0.319 0.191
0.778 0.778 0.556
0.859 0.859 0.262
0.937 0.937 0.371
```

The 6 most intense peaks (5 to 70 degrees two-theta), in order of rising 2θ:
d = 8.465 Å, 10.45 deg, I = 18; d = 5.899 Å, 15.02 deg, I = 100; d = 4.877 Å, 18.19 deg, I = 26; d = 3.223 Å, 27.68 deg, I = 26; d = 3.077 Å, 29.02 deg, I = 16; d = 2.950 Å, 30.30 deg, I = 14

---

# 4
Li3TiMn4O8: simulated XRD peak list (CuKα), based on the GGA+U geometry in the Materials Project.
No peak broadening, texture or thermal motion is included.

Crystal structure
```
Li3TiMn4O8
1.0
5.282 -3.082 0.000
5.282 3.082 0.000
-3.489 0.000 5.032
Li Ti Mn O
3 1 4 8
direct
0.000 0.000 0.000
0.000 0.500 0.500
0.500 0.000 0.500
0.500 0.500 0.500
0.000 0.000 0.500
0.000 0.500 0.000
0.500 0.000 0.000
0.500 0.500 0.000
0.249 0.249 0.763
0.261 0.730 0.730
0.270 0.739 0.270
0.272 0.272 0.267
0.728 0.728 0.733
0.730 0.261 0.730
0.739 0.270 0.270
0.751 0.751 0.237
```

The 6 most intense peaks (5 to 70 degrees two-theta), in order of rising 2θ:
d = 4.975 Å, 17.83 deg, I = 47; d = 2.628 Å, 34.12 deg, I = 22; d = 2.514 Å, 35.71 deg, I = 23; d = 2.171 Å, 41.59 deg, I = 100; d = 1.542 Å, 60.01 deg, I = 28; d = 1.529 Å, 60.54 deg, I = 27

---

# 5
Li9Mn2Co5O16: simulated XRD peak list (CuKα), based on the GGA+U geometry in the Materials Project.
No peak broadening, texture or thermal motion is included.

Crystal structure
```
Li9Mn2Co5O16
1.0
5.847 -2.879 0.000
5.847 2.879 0.000
-5.829 0.000 8.520
Li Mn Co O
9 2 5 16
direct
0.000 0.000 0.000
0.245 0.749 0.240
0.247 0.247 0.995
0.251 0.251 0.499
0.251 0.755 0.760
0.749 0.245 0.240
0.749 0.749 0.501
0.753 0.753 0.005
0.755 0.251 0.760
0.000 0.000 0.500
0.500 0.500 0.500
0.006 0.510 0.762
0.490 0.994 0.238
0.500 0.500 0.000
0.510 0.006 0.762
0.994 0.490 0.238
0.139 0.633 0.500
0.140 0.140 0.756
0.141 0.141 0.257
0.150 0.613 0.994
0.367 0.861 0.500
0.380 0.380 0.268
0.384 0.384 0.772
0.387 0.850 0.006
0.613 0.150 0.994
0.616 0.616 0.228
0.620 0.620 0.732
0.633 0.139 0.500
0.850 0.387 0.006
0.859 0.859 0.743
0.860 0.860 0.244
0.861 0.367 0.500
```

The 6 most intense peaks (5 to 70 degrees two-theta), in order of rising 2θ:
d = 4.816 Å, 18.42 deg, I = 100; d = 2.557 Å, 35.10 deg, I = 16; d = 2.473 Å, 36.33 deg, I = 26; d = 2.130 Å, 42.44 deg, I = 29; d = 2.051 Å, 44.15 deg, I = 53; d = 1.479 Å, 62.84 deg, I = 15

---

# 6
LiV6O7F5: simulated XRD peak list (CuKα), based on the GGA+U geometry in the Materials Project.
No peak broadening, texture or thermal motion is included.

Crystal structure
```
LiV6O7F5
1.0
4.853 0.000 0.000
0.112 5.696 0.000
0.118 0.622 7.738
Li V O F
1 6 7 5
direct
0.000 0.000 0.000
0.048 0.275 0.267
0.455 0.760 0.240
0.502 0.090 0.907
0.529 0.414 0.574
0.988 0.936 0.573
0.994 0.569 0.906
0.186 0.281 0.017
0.199 0.953 0.352
0.299 0.793 0.007
0.319 0.461 0.355
0.691 0.380 0.811
0.814 0.223 0.478
0.817 0.882 0.812
0.203 0.622 0.669
0.304 0.124 0.674
0.700 0.726 0.471
0.704 0.056 0.145
0.804 0.566 0.152
```

The 6 most intense peaks (5 to 70 degrees two-theta), in order of rising 2θ:
d = 3.440 Å, 25.90 deg, I = 100; d = 3.359 Å, 26.54 deg, I = 100; d = 2.601 Å, 34.48 deg, I = 73; d = 2.579 Å, 34.78 deg, I = 24; d = 1.763 Å, 51.87 deg, I = 30; d = 1.542 Å, 59.98 deg, I = 22